Ba3HfCr2O9: computed powder diffraction line list (Cu Ka), based on a crystal structure in Alexandria, relaxed with GGA+U.

The 10 most intense peaks (5 to 70 degrees two-theta), in order of rising 2θ:
2θ = 12.57°, 7.042 Å, rel. 4; 2θ = 17.88°, 4.961 Å, rel. 6; 2θ = 21.91°, 4.056 Å, rel. 6; 2θ = 31.19°, 2.868 Å, rel. 100; 2θ = 38.48°, 2.340 Å, rel. 6; 2θ = 44.69°, 2.028 Å, rel. 31; 2θ = 55.37°, 1.659 Å, rel. 10; 2θ = 55.54°, 1.655 Å, rel. 29; 2θ = 64.95°, 1.436 Å, rel. 9; 2θ = 65.13°, 1.432 Å, rel. 9

Structure:
Lattice parameters (Å, degrees): 5.729 5.729 7.042 90.00 90.00 120.00
Positions (direct):
Ba1 0.000 0.000 0.000
Ba2 0.333 0.667 0.675
Ba3 0.667 0.333 0.325
Hf1 0.000 0.000 0.500
Cr1 0.333 0.667 0.165
Cr2 0.667 0.333 0.835
O1 0.000 0.500 0.000
O2 0.172 0.344 0.328
O3 0.172 0.828 0.328
O4 0.344 0.172 0.672
O5 0.500 0.000 0.000
O6 0.500 0.500 0.000
O7 0.656 0.828 0.328
O8 0.828 0.172 0.672
O9 0.828 0.656 0.672